1.
Calculated X-ray powder pattern
Compound: MoO2
Radiation: λ = 1.5418 Å (Cu Kα)
Structure: a crystal structure in the Materials Project, relaxed with GGA+U

Structural model:
Unit cell a=6.169 b=6.227 c=20.787 alpha=81.48 beta=81.48 gamma=63.22
Space group P1 (No. 1)
One atom of each set of equivalent atoms:
Mo (0.000, 0.000, 0.000) [1 per cell]
Mo (0.002, 0.986, 0.499) [1 per cell]
Mo (0.041, 0.518, 0.407) [1 per cell]
Mo (0.133, 0.610, 0.132) [1 per cell]
Mo (0.223, 0.703, 0.848) [1 per cell]
Mo (0.262, 0.239, 0.253) [1 per cell]
Mo (0.265, 0.222, 0.746) [1 per cell]
Mo (0.291, 0.751, 0.652) [1 per cell]
Mo (0.485, 0.967, 0.097) [1 per cell]
Mo (0.509, 0.477, 0.499) [1 per cell]
Mo (0.529, 0.473, 0.000) [1 per cell]
Mo (0.739, 0.220, 0.340) [1 per cell]
Mo (0.748, 0.739, 0.747) [1 per cell]
Mo (0.761, 0.740, 0.253) [1 per cell]
Mo (0.873, 0.345, 0.877) [1 per cell]
Mo (0.982, 0.458, 0.590) [1 per cell]
O (0.062, 0.532, 0.808) [1 per cell]
O (0.066, 0.541, 0.313) [1 per cell]
O (0.073, 0.076, 0.309) [1 per cell]
O (0.085, 0.044, 0.815) [1 per cell]
O (0.138, 0.173, 0.933) [1 per cell]
O (0.158, 0.202, 0.441) [1 per cell]
O (0.195, 0.673, 0.445) [1 per cell]
O (0.215, 0.684, 0.943) [1 per cell]
O (0.303, 0.780, 0.559) [1 per cell]
O (0.305, 0.307, 0.562) [1 per cell]
O (0.323, 0.795, 0.061) [1 per cell]
O (0.333, 0.316, 0.066) [1 per cell]
O (0.394, 0.424, 0.187) [1 per cell]
O (0.412, 0.443, 0.688) [1 per cell]
O (0.437, 0.912, 0.692) [1 per cell]
O (0.461, 0.940, 0.192) [1 per cell]
O (0.576, 0.556, 0.812) [1 per cell]
O (0.580, 0.020, 0.792) [1 per cell]
O (0.585, 0.060, 0.300) [1 per cell]
O (0.598, 0.550, 0.309) [1 per cell]
O (0.700, 0.176, 0.944) [1 per cell]
O (0.705, 0.609, 0.932) [1 per cell]
O (0.708, 0.187, 0.438) [1 per cell]
O (0.724, 0.636, 0.441) [1 per cell]
O (0.814, 0.283, 0.050) [1 per cell]
O (0.822, 0.296, 0.556) [1 per cell]
O (0.834, 0.779, 0.562) [1 per cell]
O (0.838, 0.809, 0.066) [1 per cell]
O (0.949, 0.438, 0.685) [1 per cell]
O (0.950, 0.868, 0.187) [1 per cell]
O (0.961, 0.442, 0.200) [1 per cell]
O (0.972, 0.872, 0.689) [1 per cell]

Principal peaks in the range 2θ from 10° to 90°, by angle:
| d (Å) | intensity | hkl |
| --- | --- | --- |
| 4.999 | 82.0 | 1 1 2 |
| 4.339 | 43.6 | 1 1 -2 |
| 3.110 | 100.0 | 1 1 6 |
| 2.743 | 66.9 | 1 -1 4 |
| 2.740 | 97.7 | -1 1 4 |
| 2.711 | 35.2 | 2 0 2 |
| 2.648 | 91.6 | 1 1 -6 |
| 2.599 | 31.7 | 2 2 0 |



2.
Calculated X-ray powder pattern
Compound: Ba2MnV2HO9
Radiation: λ = 1.5418 Å (Cu Kα)
Structure: a crystal structure in the Materials Project, relaxed with GGA+U

Structural model:
Unit cell a=8.001 b=6.330 c=9.164 alpha=90.00 beta=111.92 gamma=90.00
Space group P2_1/m (No. 11)
One atom of each set of equivalent atoms:
Ba (0.177, 0.250, 0.089) [2 per cell]
Ba (0.231, 0.750, 0.739) [2 per cell]
Mn (0.500, 0.000, 0.500) [2 per cell]
V (0.053, 0.750, 0.325) [2 per cell]
V (0.453, 0.750, 0.169) [2 per cell]
H (0.244, 0.250, 0.487) [2 per cell]
O (0.005, 0.031, 0.797) [4 per cell]
O (0.066, 0.250, 0.551) [2 per cell]
O (0.232, 0.750, 0.046) [2 per cell]
O (0.288, 0.750, 0.448) [2 per cell]
O (0.337, 0.250, 0.437) [2 per cell]
O (0.424, 0.250, 0.947) [2 per cell]
O (0.497, 0.512, 0.286) [4 per cell]

Principal peaks in the range 2θ from 10° to 90°, by angle:
| d (Å) | intensity | hkl |
| --- | --- | --- |
| 3.376 | 100.0 | 2 1 -1 |
| 3.165 | 38.1 | 0 2 0 |
| 3.054 | 41.6 | 1 0 -3 |
| 2.861 | 62.3 | 1 1 2 |
| 2.408 | 23.0 | 2 2 0 |
| 2.198 | 30.7 | 1 2 -3 |
| 1.932 | 25.7 | 3 1 -4 |
| 1.789 | 25.7 | 3 2 1 |



3.
Calculated X-ray powder pattern
Compound: V4O3F9
Radiation: λ = 1.5418 Å (Cu Kα)
Structure: a crystal structure in the Materials Project, relaxed with GGA+U

Structural model:
Unit cell a=5.267 b=5.371 c=17.355 alpha=87.66 beta=81.30 gamma=61.08
Space group P1 (No. 1)
One atom of each set of equivalent atoms:
V (0.000, 0.000, 0.000) [1 per cell]
V (0.001, 0.489, 0.501) [1 per cell]
V (0.252, 0.888, 0.622) [1 per cell]
V (0.253, 0.401, 0.122) [1 per cell]
V (0.482, 0.270, 0.745) [1 per cell]
V (0.484, 0.728, 0.248) [1 per cell]
V (0.748, 0.089, 0.379) [1 per cell]
V (0.749, 0.602, 0.879) [1 per cell]
O (0.208, 0.169, 0.566) [1 per cell]
O (0.213, 0.671, 0.065) [1 per cell]
O (0.304, 0.544, 0.688) [1 per cell]
O (0.342, 0.544, 0.211) [1 per cell]
O (0.788, 0.329, 0.935) [1 per cell]
O (0.790, 0.814, 0.435) [1 per cell]
F (0.173, 0.915, 0.337) [1 per cell]
F (0.176, 0.420, 0.837) [1 per cell]
F (0.178, 0.201, 0.041) [1 per cell]
F (0.183, 0.694, 0.539) [1 per cell]
F (0.286, 0.068, 0.188) [1 per cell]
F (0.321, 0.838, 0.912) [1 per cell]
F (0.322, 0.030, 0.715) [1 per cell]
F (0.330, 0.326, 0.410) [1 per cell]
F (0.668, 0.950, 0.288) [1 per cell]
F (0.671, 0.659, 0.590) [1 per cell]
F (0.678, 0.156, 0.088) [1 per cell]
F (0.686, 0.449, 0.786) [1 per cell]
F (0.703, 0.936, 0.813) [1 per cell]
F (0.717, 0.427, 0.315) [1 per cell]
F (0.819, 0.286, 0.461) [1 per cell]
F (0.819, 0.799, 0.960) [1 per cell]
F (0.830, 0.059, 0.666) [1 per cell]
F (0.831, 0.582, 0.166) [1 per cell]

Principal peaks in the range 2θ from 10° to 90°, by angle:
| d (Å) | intensity | hkl |
| --- | --- | --- |
| 3.794 | 98.9 | 1 0 -2 |
| 3.776 | 97.9 | 1 1 3 |
| 3.698 | 100.0 | 0 1 -3 |
| 2.269 | 17.5 | 1 1 7 |
| 1.897 | 22.4 | 2 0 -4 |
| 1.888 | 20.8 | 2 2 6 |
| 1.849 | 18.2 | 0 2 -6 |
| 1.714 | 23.6 | 1 2 8 |



4.
Calculated X-ray powder pattern
Compound: Li4Ti3Cr3Co2O16
Radiation: λ = 1.5418 Å (Cu Kα)
Structure: a crystal structure in the Materials Project, relaxed with GGA+U

Structural model:
Unit cell a=10.046 b=5.855 c=9.396 alpha=90.00 beta=90.15 gamma=90.00
Space group Cm (No. 8)
One atom of each set of equivalent atoms:
Li (0.000, 0.000, 0.000) [2 per cell]
Li (0.005, 0.000, 0.504) [2 per cell]
Li (0.167, 0.500, 0.103) [2 per cell]
Li (0.332, 0.000, 0.605) [2 per cell]
Ti (0.330, 0.500, 0.782) [2 per cell]
Ti (0.416, 0.247, 0.287) [4 per cell]
Cr (0.085, 0.256, 0.789) [4 per cell]
Cr (0.173, 0.000, 0.285) [2 per cell]
Co (0.164, 0.500, 0.518) [2 per cell]
Co (0.333, 0.000, 0.014) [2 per cell]
O (0.001, 0.000, 0.187) [2 per cell]
O (0.001, 0.000, 0.690) [2 per cell]
O (0.023, 0.500, 0.660) [2 per cell]
O (0.082, 0.253, 0.397) [4 per cell]
O (0.166, 0.000, 0.893) [2 per cell]
O (0.168, 0.500, 0.898) [2 per cell]
O (0.236, 0.283, 0.654) [4 per cell]
O (0.261, 0.216, 0.154) [4 per cell]
O (0.331, 0.500, 0.395) [2 per cell]
O (0.337, 0.000, 0.399) [2 per cell]
O (0.415, 0.247, 0.896) [4 per cell]
O (0.477, 0.000, 0.155) [2 per cell]

Principal peaks in the range 2θ from 10° to 90°, by angle:
| d (Å) | intensity | hkl |
| --- | --- | --- |
| 4.698 | 46.6 | 0 0 2 |
| 4.450 | 100.0 | 1 1 1 |
| 3.441 | 32.5 | 1 1 -2 |
| 2.662 | 28.7 | 2 0 -3 |
| 2.472 | 42.1 | 3 1 2 |
| 2.442 | 28.7 | 2 2 1 |
| 1.968 | 40.9 | 2 2 -3 |
| 1.508 | 29.6 | 2 2 5 |



5.
Calculated X-ray powder pattern
Compound: Ca3Fe2O7
Radiation: λ = 1.5418 Å (Cu Kα)
Structure: a crystal structure in the Materials Project, relaxed with GGA+U

Structural model:
Unit cell a=19.456 b=5.423 c=5.433 alpha=90.00 beta=90.00 gamma=90.00
Space group Cmc2_1 (No. 36)
One atom of each set of equivalent atoms:
Ca (0.000, 0.243, 0.000) [4 per cell]
Ca (0.186, 0.238, 0.075) [8 per cell]
Fe (0.099, 0.251, 0.540) [8 per cell]
O (0.000, 0.321, 0.555) [4 per cell]
O (0.084, 0.036, 0.253) [8 per cell]
O (0.112, 0.464, 0.824) [8 per cell]
O (0.198, 0.193, 0.525) [8 per cell]

Principal peaks in the range 2θ from 10° to 90°, by angle:
| d (Å) | intensity | hkl |
| --- | --- | --- |
| 4.864 | 20.3 | 4 0 0 |
| 2.733 | 100.0 | 5 1 1 |
| 2.714 | 69.9 | 0 0 2 |
| 1.946 | 23.4 | 10 0 0 |
| 1.919 | 47.5 | 0 2 2 |
| 1.581 | 22.2 | 10 0 2 |
| 1.570 | 39.1 | 5 3 1 |
| 1.366 | 19.5 | 10 2 2 |



6.
Calculated X-ray powder pattern
Compound: V4O3F9
Radiation: λ = 1.5418 Å (Cu Kα)
Structure: a crystal structure in the Materials Project, relaxed with GGA+U

Structural model:
Unit cell a=5.272 b=5.408 c=17.533 alpha=89.25 beta=81.84 gamma=60.99
Space group P1 (No. 1)
One atom of each set of equivalent atoms:
V (0.000, 0.000, 0.000) [1 per cell]
V (0.017, 0.513, 0.505) [1 per cell]
V (0.231, 0.423, 0.125) [1 per cell]
V (0.254, 0.865, 0.629) [1 per cell]
V (0.479, 0.797, 0.257) [1 per cell]
V (0.514, 0.238, 0.759) [1 per cell]
V (0.758, 0.651, 0.880) [1 per cell]
V (0.786, 0.161, 0.381) [1 per cell]
O (0.061, 0.699, 0.071) [1 per cell]
O (0.116, 0.686, 0.588) [1 per cell]
O (0.121, 0.978, 0.297) [1 per cell]
O (0.562, 0.969, 0.815) [1 per cell]
O (0.914, 0.344, 0.422) [1 per cell]
O (0.928, 0.846, 0.929) [1 per cell]
F (0.055, 0.204, 0.570) [1 per cell]
F (0.085, 0.184, 0.087) [1 per cell]
F (0.091, 0.477, 0.794) [1 per cell]
F (0.428, 0.807, 0.966) [1 per cell]
F (0.430, 0.094, 0.669) [1 per cell]
F (0.432, 0.296, 0.462) [1 per cell]
F (0.434, 0.603, 0.171) [1 per cell]
F (0.468, 0.093, 0.189) [1 per cell]
F (0.478, 0.569, 0.696) [1 per cell]
F (0.553, 0.455, 0.315) [1 per cell]
F (0.584, 0.442, 0.839) [1 per cell]
F (0.587, 0.230, 0.046) [1 per cell]
F (0.600, 0.730, 0.547) [1 per cell]
F (0.618, 0.933, 0.337) [1 per cell]
F (0.918, 0.567, 0.215) [1 per cell]
F (0.937, 0.061, 0.715) [1 per cell]
F (0.978, 0.321, 0.942) [1 per cell]
F (0.979, 0.824, 0.441) [1 per cell]

Principal peaks in the range 2θ from 10° to 90°, by angle:
| d (Å) | intensity | hkl |
| --- | --- | --- |
| 3.796 | 50.0 | 1 0 -2 |
| 3.769 | 100.0 | 1 1 3 |
| 2.709 | 12.0 | 0 1 5 |
| 1.898 | 11.4 | 2 0 -4 |
| 1.888 | 10.6 | 0 2 -6 |
| 1.882 | 10.5 | 2 2 6 |
| 1.713 | 11.2 | -2 1 1 |
| 1.706 | 15.5 | 1 2 8 |



7.
Calculated X-ray powder pattern
Compound: Li9Mn2Co5O16
Radiation: λ = 1.5418 Å (Cu Kα)
Structure: a crystal structure in the Materials Project, relaxed with GGA+U

Structural model:
Unit cell a=5.239 b=2.867 c=19.604 alpha=90.00 beta=97.43 gamma=90.00
Space group Pm (No. 6)
One atom of each set of equivalent atoms:
Li (0.000, 0.000, 0.000) [1 per cell]
Li (0.001, 0.500, 0.248) [1 per cell]
Li (0.004, 0.000, 0.495) [1 per cell]
Li (0.250, 0.500, 0.626) [1 per cell]
Li (0.266, 0.500, 0.124) [1 per cell]
Li (0.497, 0.000, 0.250) [1 per cell]
Li (0.501, 0.000, 0.750) [1 per cell]
Li (0.721, 0.500, 0.365) [1 per cell]
Li (0.749, 0.500, 0.876) [1 per cell]
Mn (0.497, 0.500, 0.497) [1 per cell]
Mn (0.998, 0.500, 0.749) [1 per cell]
Co (0.206, 0.000, 0.362) [1 per cell]
Co (0.260, 0.000, 0.875) [1 per cell]
Co (0.497, 0.500, 0.001) [1 per cell]
Co (0.738, 0.000, 0.623) [1 per cell]
Co (0.790, 0.000, 0.131) [1 per cell]
O (0.105, 0.000, 0.180) [1 per cell]
O (0.112, 0.000, 0.690) [1 per cell]
O (0.145, 0.500, 0.930) [1 per cell]
O (0.177, 0.500, 0.438) [1 per cell]
O (0.367, 0.500, 0.819) [1 per cell]
O (0.368, 0.500, 0.315) [1 per cell]
O (0.369, 0.000, 0.054) [1 per cell]
O (0.376, 0.000, 0.553) [1 per cell]
O (0.620, 0.000, 0.942) [1 per cell]
O (0.625, 0.500, 0.679) [1 per cell]
O (0.628, 0.000, 0.446) [1 per cell]
O (0.639, 0.500, 0.178) [1 per cell]
O (0.832, 0.500, 0.563) [1 per cell]
O (0.845, 0.500, 0.066) [1 per cell]
O (0.880, 0.000, 0.805) [1 per cell]
O (0.889, 0.000, 0.317) [1 per cell]

Principal peaks in the range 2θ from 10° to 90°, by angle:
| d (Å) | intensity | hkl |
| --- | --- | --- |
| 4.850 | 100.0 | 1 0 -2 |
| 2.602 | 16.2 | 1 0 6 |
| 2.469 | 25.5 | 0 1 4 |
| 2.177 | 28.5 | 2 0 4 |
| 2.047 | 51.4 | 1 1 -6 |
| 1.925 | 9.8 | 2 1 0 |
| 1.492 | 13.6 | 1 1 10 |
| 1.490 | 14.2 | 3 1 -2 |



8.
Calculated X-ray powder pattern
Compound: Al4Fe2Si5O18
Radiation: λ = 1.5418 Å (Cu Kα)
Structure: a crystal structure in the Materials Project, relaxed with GGA+U

Structural model:
Unit cell a=9.929 b=17.451 c=9.409 alpha=90.00 beta=90.00 gamma=90.00
Space group Cccm (No. 66)
One atom of each set of equivalent atoms:
Al (0.193, 0.049, 0.000) [8 per cell]
Al (0.250, 0.250, 0.250) [8 per cell]
Fe (0.000, 0.163, 0.250) [8 per cell]
Si (0.000, 0.000, 0.250) [4 per cell]
Si (0.080, 0.310, 0.000) [8 per cell]
Si (0.233, 0.365, 0.500) [8 per cell]
O (0.076, 0.338, 0.500) [8 per cell]
O (0.086, 0.061, 0.152) [16 per cell]
O (0.105, 0.256, 0.142) [16 per cell]
O (0.187, 0.379, 0.000) [8 per cell]
O (0.195, 0.173, 0.358) [16 per cell]
O (0.248, 0.456, 0.500) [8 per cell]

Principal peaks in the range 2θ from 10° to 90°, by angle:
| d (Å) | intensity | hkl |
| --- | --- | --- |
| 8.726 | 55.1 | 0 2 0 |
| 8.630 | 100.0 | 1 1 0 |
| 4.132 | 57.7 | 1 1 2 |
| 3.432 | 49.2 | 1 3 2 |
| 3.415 | 28.5 | 2 0 2 |
| 3.180 | 19.2 | 2 2 2 |
| 3.108 | 18.5 | 1 5 1 |
| 3.073 | 18.5 | 3 1 1 |